No. 1
Pr4AlZn: theoretical powder diffraction line list (CuKα), based on a crystal structure in Alexandria, relaxed with PBE.
Kinematic intensities with the Lorentz-polarization factor, no thermal factor.

Principal peaks in the range 10 to 80 degrees two-theta, low angle first:
| two_theta | I (rel.) |
| --- | --- |
| 24.29 | 61.5 |
| 34.62 | 100.0 |
| 42.74 | 18.4 |
| 49.76 | 17.8 |
| 56.12 | 24.9 |
| 62.04 | 36.4 |

Structure:
Lattice parameters (Å, degrees): 5.185 5.185 7.323 90.00 90.00 90.00
Space group P4/mmm (No. 123)
Inequivalent atoms, fractional coordinates:
Pr (0.000, 0.500, 0.247) [4 per cell]
Al (0.000, 0.000, 0.500) [1 per cell]
Zn (0.500, 0.500, 0.000) [1 per cell]

=====

No. 2
SrCd11Ga: theoretical powder diffraction line list (CuKα), based on a crystal structure in Alexandria, relaxed with PBE.
Kinematic intensities with the Lorentz-polarization factor, no thermal factor.

Principal peaks in the range 10 to 80 degrees two-theta, low angle first:
| two_theta | I (rel.) |
| --- | --- |
| 34.53 | 55.1 |
| 34.85 | 50.5 |
| 35.54 | 100.0 |
| 35.71 | 86.2 |
| 39.22 | 59.5 |
| 40.01 | 60.0 |

Structure:
Lattice parameters (Å, degrees): 6.030 14.187 7.700 90.00 112.23 90.00
Space group C2/m (No. 12)
Inequivalent atoms, fractional coordinates:
Sr (0.000, 0.000, 0.000) [2 per cell]
Cd (0.000, 0.000, 0.500) [2 per cell]
Cd (0.105, 0.393, 0.219) [8 per cell]
Cd (0.179, 0.176, 0.354) [8 per cell]
Cd (0.250, 0.250, 0.000) [4 per cell]
Ga (0.000, 0.500, 0.500) [2 per cell]

=====

No. 3
PaMnCuH6: theoretical powder diffraction line list (CuKα), based on a crystal structure in Alexandria, relaxed with PBE.
Kinematic intensities with the Lorentz-polarization factor, no thermal factor.

Principal peaks in the range 10 to 80 degrees two-theta, low angle first:
| two_theta | I (rel.) |
| --- | --- |
| 23.46 | 31.8 |
| 31.85 | 100.0 |
| 41.23 | 36.3 |
| 53.02 | 24.2 |
| 61.29 | 22.7 |
| 69.30 | 21.5 |

Structure:
Lattice parameters (Å, degrees): 4.3790 4.3790 4.1832 90.00 90.00 120.00
Space group P-6m2 (No. 187)
Inequivalent atoms, fractional coordinates:
Pa (0.0000, 0.0000, 0.0000) [1 per cell]
Mn (0.6667, 0.3333, 0.5000) [1 per cell]
Cu (0.3333, 0.6667, 0.5000) [1 per cell]
H (0.5088, 0.0175, 0.2260) [6 per cell]

=====

No. 4
Ba5HgAu: theoretical powder diffraction line list (CuKα), based on a crystal structure in Alexandria, relaxed with PBE.
Kinematic intensities with the Lorentz-polarization factor, no thermal factor.

Principal peaks in the range 10 to 80 degrees two-theta, low angle first:
| two_theta | I (rel.) |
| --- | --- |
| 13.73 | 97.4 |
| 23.33 | 100.0 |
| 24.46 | 98.1 |
| 26.78 | 91.8 |
| 28.01 | 93.9 |
| 36.11 | 88.6 |

Structure:
Lattice parameters (Å, degrees): 14.092 8.817 12.761 90.00 113.70 90.00
Space group C2/c (No. 15)
Inequivalent atoms, fractional coordinates:
Ba (0.000, 0.060, 0.250) [4 per cell]
Ba (0.100, 0.335, 0.997) [8 per cell]
Ba (0.227, 0.149, 0.642) [8 per cell]
Hg (0.000, 0.446, 0.250) [4 per cell]
Au (0.000, 0.000, 0.000) [4 per cell]

=====

No. 5
Nd2Er9Tm3: theoretical powder diffraction line list (CuKα), based on a crystal structure in Alexandria, relaxed with PBE.
Kinematic intensities with the Lorentz-polarization factor, no thermal factor.

Principal peaks in the range 10 to 80 degrees two-theta, low angle first:
| two_theta | I (rel.) |
| --- | --- |
| 29.59 | 32.0 |
| 31.74 | 54.9 |
| 32.13 | 100.0 |
| 33.29 | 97.7 |
| 49.79 | 22.7 |
| 60.26 | 25.0 |

Structure:
Lattice parameters (Å, degrees): 22.307 3.538 14.255 90.00 128.92 90.00
Space group Cm (No. 8)
Inequivalent atoms, fractional coordinates:
Nd (0.000, 0.000, 0.000) [2 per cell]
Nd (0.139, 0.500, 0.720) [2 per cell]
Er (0.052, 0.000, 0.443) [2 per cell]
Er (0.071, 0.000, 0.855) [2 per cell]
Er (0.091, 0.500, 0.274) [2 per cell]
Er (0.184, 0.500, 0.134) [2 per cell]
Er (0.231, 0.500, 0.580) [2 per cell]
Er (0.250, 0.000, 0.001) [2 per cell]
Er (0.404, 0.000, 0.718) [2 per cell]
Er (0.415, 0.500, 0.135) [2 per cell]
Er (0.446, 0.500, 0.553) [2 per cell]
Tm (0.268, 0.000, 0.407) [2 per cell]
Tm (0.322, 0.000, 0.855) [2 per cell]
Tm (0.369, 0.000, 0.295) [2 per cell]

=====

No. 6
LaNdAlSi: theoretical powder diffraction line list (CuKα), based on a crystal structure in Alexandria, relaxed with PBE.
Kinematic intensities with the Lorentz-polarization factor, no thermal factor.

Principal peaks in the range 10 to 80 degrees two-theta, low angle first:
| two_theta | I (rel.) |
| --- | --- |
| 21.15 | 31.2 |
| 26.71 | 63.5 |
| 30.45 | 100.0 |
| 30.63 | 60.7 |
| 31.17 | 26.9 |
| 37.82 | 29.0 |

Structure:
Lattice parameters (Å, degrees): 4.104 4.515 11.476 90.00 90.00 90.00
Space group Amm2 (No. 38)
Inequivalent atoms, fractional coordinates:
La (0.000, 0.000, 0.000) [2 per cell]
Nd (0.500, 0.000, 0.714) [2 per cell]
Al (0.500, 0.000, 0.419) [2 per cell]
Si (0.000, 0.000, 0.284) [2 per cell]

=====

No. 7
Cr2S5: theoretical powder diffraction line list (CuKα), based on a crystal structure in Alexandria, relaxed with PBE.
Kinematic intensities with the Lorentz-polarization factor, no thermal factor.

Principal peaks in the range 10 to 80 degrees two-theta, low angle first:
| two_theta | I (rel.) |
| --- | --- |
| 13.28 | 77.2 |
| 13.43 | 100.0 |
| 15.00 | 69.4 |
| 22.09 | 48.8 |
| 24.16 | 36.6 |
| 25.05 | 51.1 |

Structure:
Lattice parameters (Å, degrees): 4.221 13.330 6.591 90.00 90.00 90.00
Space group Pmmn (No. 59, origin choice 2)
Inequivalent atoms, fractional coordinates:
Cr (0.250, 0.094, 0.133) [4 per cell]
S (0.250, 0.075, 0.434) [4 per cell]
S (0.250, 0.250, 0.068) [2 per cell]
S (0.250, 0.566, 0.991) [4 per cell]

=====

No. 8
Nd3EuIr: theoretical powder diffraction line list (CuKα), based on a crystal structure in Alexandria, relaxed with PBE.
Kinematic intensities with the Lorentz-polarization factor, no thermal factor.

Principal peaks in the range 10 to 80 degrees two-theta, low angle first:
| two_theta | I (rel.) |
| --- | --- |
| 15.61 | 29.7 |
| 22.15 | 30.6 |
| 27.22 | 51.5 |
| 31.53 | 100.0 |
| 45.19 | 74.3 |
| 74.81 | 33.5 |

Structure:
Lattice parameters (Å, degrees): 5.675 5.675 5.675 90.00 90.00 90.00
Space group Pm-3m (No. 221)
Inequivalent atoms, fractional coordinates:
Nd (0.000, 0.000, 0.500) [3 per cell]
Eu (0.500, 0.500, 0.500) [1 per cell]
Ir (0.000, 0.000, 0.000) [1 per cell]

=====

No. 9
DyUGe: theoretical powder diffraction line list (CuKα), based on a crystal structure in Alexandria, relaxed with PBE.
Kinematic intensities with the Lorentz-polarization factor, no thermal factor.

Principal peaks in the range 10 to 80 degrees two-theta, low angle first:
| two_theta | I (rel.) |
| --- | --- |
| 10.20 | 67.2 |
| 30.93 | 100.0 |
| 31.75 | 89.9 |
| 36.85 | 75.2 |
| 41.17 | 52.1 |
| 45.74 | 79.5 |

Structure:
Lattice parameters (Å, degrees): 3.228 5.083 17.348 90.00 90.00 90.00
Space group Immm (No. 71)
Inequivalent atoms, fractional coordinates:
Dy (0.000, 0.000, 0.174) [4 per cell]
U (0.000, 0.250, 0.500) [4 per cell]
Ge (0.000, 0.000, 0.345) [4 per cell]

=====

No. 10
Nd3Dy4Ho: theoretical powder diffraction line list (CuKα), based on a crystal structure in Alexandria, relaxed with PBE.
Kinematic intensities with the Lorentz-polarization factor, no thermal factor.

Principal peaks in the range 10 to 80 degrees two-theta, low angle first:
| two_theta | I (rel.) |
| --- | --- |
| 28.18 | 15.7 |
| 31.12 | 24.5 |
| 32.31 | 100.0 |
| 42.50 | 15.7 |
| 56.13 | 20.9 |
| 60.09 | 15.1 |

Structure:
Lattice parameters (Å, degrees): 11.495 7.322 6.310 90.00 90.00 90.00
Space group Pmn2_1 (No. 31)
Inequivalent atoms, fractional coordinates:
Nd (0.000, 0.127, 0.000) [2 per cell]
Nd (0.250, 0.126, 0.334) [4 per cell]
Dy (0.000, 0.377, 0.500) [2 per cell]
Dy (0.000, 0.622, 0.000) [2 per cell]
Dy (0.248, 0.623, 0.333) [4 per cell]
Ho (0.000, 0.871, 0.499) [2 per cell]

=====

No. 11
La3SmHo12: theoretical powder diffraction line list (CuKα), based on a crystal structure in Alexandria, relaxed with PBE.
Kinematic intensities with the Lorentz-polarization factor, no thermal factor.

Principal peaks in the range 10 to 80 degrees two-theta, low angle first:
| two_theta | I (rel.) |
| --- | --- |
| 30.62 | 100.0 |
| 35.50 | 50.6 |
| 51.08 | 36.1 |
| 60.74 | 42.8 |
| 63.75 | 12.3 |
| 75.14 | 5.7 |

Structure:
Lattice parameters (Å, degrees): 5.056 5.056 20.237 90.00 90.00 90.00
Space group P4/mmm (No. 123)
Inequivalent atoms, fractional coordinates:
La (0.000, 0.000, 0.000) [1 per cell]
La (0.000, 0.000, 0.250) [2 per cell]
Sm (0.000, 0.000, 0.500) [1 per cell]
Ho (0.000, 0.500, 0.126) [4 per cell]
Ho (0.000, 0.500, 0.377) [4 per cell]
Ho (0.500, 0.500, 0.000) [1 per cell]
Ho (0.500, 0.500, 0.252) [2 per cell]
Ho (0.500, 0.500, 0.500) [1 per cell]

=====

No. 12
Na5B7C3: theoretical powder diffraction line list (CuKα), based on a crystal structure in Alexandria, relaxed with PBE.
Kinematic intensities with the Lorentz-polarization factor, no thermal factor.

Principal peaks in the range 10 to 80 degrees two-theta, low angle first:
| two_theta | I (rel.) |
| --- | --- |
| 36.05 | 17.6 |
| 41.16 | 50.4 |
| 42.01 | 100.0 |
| 42.42 | 37.3 |
| 63.57 | 17.7 |
| 77.32 | 12.5 |

Structure:
Lattice parameters (Å, degrees): 22.912 2.853 9.951 90.00 107.01 90.00
Space group C2/m (No. 12)
Inequivalent atoms, fractional coordinates:
Na (0.000, 0.000, 0.000) [2 per cell]
Na (0.000, 0.500, 0.500) [2 per cell]
Na (0.099, 0.000, 0.701) [4 per cell]
Na (0.100, 0.500, 0.199) [4 per cell]
Na (0.200, 0.500, 0.899) [4 per cell]
Na (0.201, 0.000, 0.398) [4 per cell]
B (0.011, 0.500, 0.772) [4 per cell]
B (0.081, 0.500, 0.912) [4 per cell]
B (0.083, 0.000, 0.417) [4 per cell]
B (0.120, 0.000, 0.990) [4 per cell]
B (0.177, 0.500, 0.604) [4 per cell]
B (0.214, 0.500, 0.179) [4 per cell]
B (0.217, 0.000, 0.684) [4 per cell]
C (0.019, 0.000, 0.290) [4 per cell]
C (0.114, 0.500, 0.479) [4 per cell]
C (0.183, 0.000, 0.116) [4 per cell]